The following is a theoretical powder X-ray diffraction pattern of Dy5Pt2. It was derived from the PBE geometry in OQMD, using Cu Kα X-rays.
No peak broadening, texture or thermal motion is included.

The 12 most intense peaks (2θ = 10–90°), in order of rising 2θ:
hkl 1 1 1, d 4.489, 2θ 19.78, I 61; hkl 0 2 1, d 2.962, 2θ 30.18, I 47; hkl 5 1 0, d 2.914, 2θ 30.68, I 79; hkl 4 0 -2, d 2.824, 2θ 31.69, I 100; hkl 3 1 -2, d 2.808, 2θ 31.87, I 40; hkl 2 2 1, d 2.740, 2θ 32.68, I 67; hkl 5 1 1, d 2.596, 2θ 34.55, I 59; hkl 3 1 2, d 2.571, 2θ 34.89, I 45; hkl 4 2 0, d 2.548, 2θ 35.22, I 59; hkl 4 0 2, d 2.513, 2θ 35.73, I 57; hkl 4 2 -1, d 2.452, 2θ 36.64, I 38; hkl 1 1 -3, d 2.210, 2θ 40.84, I 49

Atomic structure:
a b c (Å): 16.386 6.537 7.047
angles (deg): 90.00 96.66 90.00
Space group C2/c (No. 15)
One atom of each set of equivalent atoms:
Dy1 0.000 0.066 0.250 x4
Dy2 0.094 0.386 0.927 x8
Dy3 0.220 0.067 0.311 x8
Pt1 0.112 0.206 0.571 x8

=====

The following is a theoretical powder X-ray diffraction pattern of Dy5Pt4. It was derived from the PBE geometry in OQMD, using Cu Kα X-rays.
No peak broadening, texture or thermal motion is included.

The 12 most intense peaks (2θ = 10–90°), in order of rising 2θ:
hkl 1 3 2, d 2.772, 2θ 32.29, I 100; hkl 2 3 1, d 2.761, 2θ 32.42, I 77; hkl 2 0 2, d 2.660, 2θ 33.70, I 20; hkl 0 4 2, d 2.625, 2θ 34.16, I 37; hkl 2 1 2, d 2.615, 2θ 34.29, I 31; hkl 1 5 1, d 2.558, 2θ 35.07, I 30; hkl 1 4 2, d 2.477, 2θ 36.26, I 26; hkl 2 4 1, d 2.469, 2θ 36.39, I 36; hkl 0 6 0, d 2.432, 2θ 36.97, I 29; hkl 3 0 1, d 2.370, 2θ 37.97, I 70; hkl 1 1 3, d 2.357, 2θ 38.18, I 49; hkl 4 3 1, d 1.703, 2θ 53.85, I 20

Atomic structure:
a b c (Å): 7.486 14.591 7.560
angles (deg): 90.00 90.00 90.00
Space group Pnma (No. 62)
One atom of each set of equivalent atoms:
Dy1 0.002 0.093 0.179 x8
Dy2 0.153 0.623 0.333 x8
Dy3 0.185 0.250 0.488 x4
Pt1 0.050 0.250 0.888 x4
Pt2 0.179 0.750 0.643 x4
Pt3 0.187 0.041 0.533 x8

=====

The following is a theoretical powder X-ray diffraction pattern of DyPuPt2. It was derived from the PBE geometry in OQMD, using Cu Kα X-rays.
No peak broadening, texture or thermal motion is included.

The 12 most intense peaks (2θ = 10–90°), in order of rising 2θ:
hkl 1 1 1, d 2.780, 2θ 32.20, I 100; hkl 0 0 4, d 2.700, 2θ 33.18, I 34; hkl 0 1 3, d 2.619, 2θ 34.23, I 14; hkl 1 0 4, d 2.298, 2θ 39.20, I 21; hkl 1 1 3, d 2.248, 2θ 40.12, I 73; hkl 2 0 0, d 2.189, 2θ 41.25, I 30; hkl 0 2 0, d 1.909, 2θ 47.64, I 20; hkl 2 0 4, d 1.700, 2θ 53.92, I 18; hkl 0 2 4, d 1.559, 2θ 59.29, I 13; hkl 2 2 0, d 1.439, 2θ 64.81, I 16; hkl 2 2 4, d 1.270, 2θ 74.77, I 14; hkl 2 1 7, d 1.197, 2θ 80.15, I 12

Atomic structure:
a b c (Å): 4.377 3.818 10.801
angles (deg): 90.00 90.00 90.00
Space group Amm2 (No. 38)
One atom of each set of equivalent atoms:
Dy1 0.000 0.000 0.000 x2
Pu1 0.500 0.000 0.277 x2
Pt1 0.000 0.000 0.730 x2
Pt2 0.500 0.000 0.549 x2

=====

Repeat the second record exactly.
The following is a theoretical powder X-ray diffraction pattern of Dy5Pt4. It was derived from the PBE geometry in OQMD, using Cu Kα X-rays.
No peak broadening, texture or thermal motion is included.

The 12 most intense peaks (2θ = 10–90°), in order of rising 2θ:
hkl 1 3 2, d 2.772, 2θ 32.29, I 100; hkl 2 3 1, d 2.761, 2θ 32.42, I 77; hkl 2 0 2, d 2.660, 2θ 33.70, I 20; hkl 0 4 2, d 2.625, 2θ 34.16, I 37; hkl 2 1 2, d 2.615, 2θ 34.29, I 31; hkl 1 5 1, d 2.558, 2θ 35.07, I 30; hkl 1 4 2, d 2.477, 2θ 36.26, I 26; hkl 2 4 1, d 2.469, 2θ 36.39, I 36; hkl 0 6 0, d 2.432, 2θ 36.97, I 29; hkl 3 0 1, d 2.370, 2θ 37.97, I 70; hkl 1 1 3, d 2.357, 2θ 38.18, I 49; hkl 4 3 1, d 1.703, 2θ 53.85, I 20

Atomic structure:
a b c (Å): 7.486 14.591 7.560
angles (deg): 90.00 90.00 90.00
Space group Pnma (No. 62)
One atom of each set of equivalent atoms:
Dy1 0.002 0.093 0.179 x8
Dy2 0.153 0.623 0.333 x8
Dy3 0.185 0.250 0.488 x4
Pt1 0.050 0.250 0.888 x4
Pt2 0.179 0.750 0.643 x4
Pt3 0.187 0.041 0.533 x8